# NdCdGa
Calculated powder diffractogram, Cu Kα. Input: DFT lattice parameters and positions (GGA-PBE).
Intensities are scaled so that the largest is 100.

Most intense lines, 2θ from 15° to 90°, low angle first:
| hkl | Position (°2θ) | I (rel.) |
| --- | --- | --- |
| 1 1 1 | 31.10 | 100 |
| 2 0 1 | 34.10 | 98 |
| 2 1 0 | 36.66 | 55 |
| 0 0 2 | 40.15 | 33 |
| 2 1 2 | 55.49 | 32 |
| 3 2 1 | 66.17 | 24 |

Cell and atoms:
abc: 7.4883 7.4883 4.4921
angles: 90.00 90.00 120.00
Space group P-62m (No. 189)
Symmetry-distinct sites (fractional):
1 Nd 0.0000 0.5790 0.0000 x3
2 Cd 0.0000 0.2466 0.5000 x3
3 Ga 0.0000 0.0000 0.0000 x1
4 Ga 0.3333 0.6667 0.5000 x2